For Nd12Al4CdN3, a cell relaxed with PBE gives the theoretical X-ray powder pattern in this record (Cu Kα X-rays).
Kinematic intensities with the Lorentz-polarization factor, no thermal factor.

The 10 most intense peaks (5° ≤ 2θ ≤ 70°), sorted by position:
2θ = 17.17°, I = 44, (2 0 0)
2θ = 29.97°, I = 100, (2 2 2)
2θ = 32.43°, I = 8, (3 2 1)
2θ = 34.74°, I = 71, (4 0 0)
2θ = 39.00°, I = 18, (4 2 0)
2θ = 40.99°, I = 7, (3 3 2)
2θ = 49.95°, I = 47, (4 4 0)
2θ = 53.21°, I = 9, (6 0 0)
2θ = 59.35°, I = 38, (6 2 2)
2θ = 62.28°, I = 15, (4 4 4)

Crystal structure
a = 10.3287 Å, b = 10.3287 Å, c = 10.3287 Å
α = 90.00°, β = 90.00°, γ = 90.00°
Space group Im-3m (No. 229)
Unique sites:
Nd 0.0000 0.0000 0.2758 (multiplicity 12)
Nd 0.0000 0.2500 0.5000 (multiplicity 12)
Al 0.2500 0.2500 0.2500 (multiplicity 8)
Cd 0.0000 0.0000 0.0000 (multiplicity 2)
N 0.0000 0.0000 0.5000 (multiplicity 6)